This entry pairs a crystal structure of W4O9 with its computed XRD peak list. Radiation: Cu Kα. Structure: a structure optimized by DFT (GGA+U).

Principal peaks in the range 15° ≤ 2θ ≤ 90°, most intense first:
2theta	I (rel.)
29.13	1000
22.98	871
37.43	694
41.67	423
48.11	412
56.22	325

Atomic structure:
```
13
Lattice="6.854 0.000 0.000 0.000 6.854 0.000 0.000 0.000 3.870" Properties=species:S:1:pos:R:3 pbc="T T T"
W 0.884 4.777 0.000
W 2.078 0.884 0.000
W 4.777 5.971 0.000
W 5.971 2.078 0.000
O 0.000 0.000 0.000
O 0.909 4.792 1.935
O 1.095 2.704 0.000
O 2.062 0.909 1.935
O 2.704 5.759 0.000
O 4.150 1.095 0.000
O 4.792 5.945 1.935
O 5.759 4.150 0.000
O 5.945 2.062 1.935
```



This entry pairs a crystal structure of LiNi6O7 with its computed XRD peak list. Radiation: Cu Kα. Structure: a structure optimized by DFT (GGA+U).

Principal peaks in the range 15° ≤ 2θ ≤ 90°, most intense first:
2theta	I (rel.)
43.31	1000
37.27	645
62.92	475
75.46	254
79.45	177
62.88	95

Atomic structure:
```
28
Lattice="5.117 0.000 0.000 1.711 5.657 0.000 0.848 -0.251 8.821" Properties=species:S:1:pos:R:3 pbc="T T T"
Li 1.278 1.160 1.889
Li 6.398 4.246 6.932
Ni 0.424 -0.125 4.410
Ni 1.280 2.703 4.410
Ni 2.137 3.984 1.888
Ni 2.965 2.197 8.198
Ni 3.837 5.021 8.192
Ni 3.835 3.490 5.692
Ni 2.993 0.630 5.683
Ni 4.683 4.776 3.138
Ni 3.841 1.916 3.129
Ni 3.840 0.385 0.628
Ni 4.711 3.209 0.622
Ni 5.539 1.422 6.933
O 1.305 4.243 0.047
O 2.144 2.413 6.270
O 3.015 5.294 6.288
O 2.983 3.726 3.783
O 2.144 0.907 3.823
O 3.865 4.974 1.228
O 3.039 2.205 1.252
O 4.637 3.201 7.568
O 3.811 0.432 7.592
O 5.532 4.499 4.998
O 4.694 1.680 5.038
O 4.661 0.112 2.532
O 5.532 2.993 2.550
O 6.371 1.163 8.774
```



This entry pairs a crystal structure of Fe2Ir2O5 with its computed XRD peak list. Radiation: Cu Kα. Structure: a structure optimized by DFT (GGA+U).

Principal peaks in the range 15° ≤ 2θ ≤ 90°, most intense first:
2theta	I (rel.)
33.41	1000
57.48	346
36.74	342
64.06	306
42.63	305
20.92	244

Atomic structure:
```
9
Lattice="3.459 0.000 0.000 0.000 3.459 0.000 0.000 0.000 8.494" Properties=species:S:1:pos:R:3 pbc="T T T"
Fe 0.000 0.000 1.945
Fe 0.000 0.000 6.549
Ir 1.730 1.730 0.000
Ir 1.730 1.730 4.247
O 0.000 0.000 0.000
O 0.000 1.730 3.047
O 0.000 1.730 5.447
O 1.730 0.000 3.047
O 1.730 0.000 5.447
```



This entry pairs a crystal structure of LiFe4B4O12 with its computed XRD peak list. Radiation: Cu Kα. Structure: a structure optimized by DFT (GGA+U).

Principal peaks in the range 15° ≤ 2θ ≤ 90°, most intense first:
2theta	I (rel.)
21.32	1000
19.68	929
35.53	902
26.26	693
21.48	378
34.14	363

Atomic structure:
```
42
Lattice="5.335 0.000 0.000 0.057 9.022 0.000 0.102 0.117 10.107" Properties=species:S:1:pos:R:3 pbc="T T T"
Li 0.000 0.000 0.000
Li 1.144 4.575 2.640
Fe 0.120 3.172 5.364
Fe 0.094 5.972 0.293
Fe 1.076 7.684 2.825
Fe 1.175 1.715 7.867
Fe 2.739 1.633 0.354
Fe 2.831 7.656 5.325
Fe 3.798 6.219 7.937
Fe 3.758 3.116 2.858
B 0.184 6.221 5.319
B 0.154 3.004 0.374
B 1.127 7.660 7.907
B 1.039 1.637 2.847
B 2.778 7.656 0.307
B 2.845 1.670 5.390
B 3.695 6.142 2.851
B 3.775 3.185 7.911
O 0.355 6.581 8.303
O 0.412 0.441 2.849
O 0.443 2.805 3.372
O 0.710 8.938 8.165
O 0.661 4.961 5.166
O 0.806 4.163 0.591
O 0.903 1.972 9.940
O 0.926 7.325 4.869
O 1.452 7.578 0.787
O 1.561 1.929 5.921
O 2.287 1.806 2.271
O 2.370 7.428 7.318
O 3.002 7.304 3.272
O 3.033 2.095 8.403
O 3.051 4.973 2.786
O 3.272 4.429 7.933
O 3.298 0.412 5.297
O 3.528 6.650 9.922
O 3.447 8.862 0.303
O 3.595 2.760 4.975
O 4.178 2.828 0.757
O 4.269 6.463 5.892
O 5.052 2.923 7.392
O 5.063 6.269 2.490
```



This entry pairs a crystal structure of Li2Mn3NbO8 with its computed XRD peak list. Radiation: Cu Kα. Structure: a structure optimized by DFT (GGA+U).

Principal peaks in the range 15° ≤ 2θ ≤ 90°, most intense first:
2theta	I (rel.)
17.94	1000
17.71	608
43.42	498
59.63	367
38.80	358
35.20	322

Atomic structure:
```
28
Lattice="5.509 -2.920 0.000 5.509 2.920 0.000 -4.608 0.000 10.028" Properties=species:S:1:pos:R:3 pbc="T T T"
Li 0.197 1.477 6.961
Li 3.908 1.477 8.081
Li 2.501 -1.477 1.947
Li 6.212 -1.477 3.067
Mn 0.000 0.000 0.000
Mn -2.304 0.000 5.014
Mn 2.754 1.460 0.000
Mn 0.450 -1.460 5.014
Mn 5.509 0.000 0.000
Mn 3.205 0.000 5.014
Nb 4.357 1.436 2.507
Nb 2.052 -1.436 7.521
O -2.639 0.152 8.780
O 0.143 1.464 9.001
O 2.676 1.453 3.755
O -0.335 -0.152 3.766
O 6.037 1.453 1.259
O 3.546 0.123 1.249
O 3.962 1.464 6.041
O 1.242 -0.123 6.264
O 5.167 0.123 3.765
O 2.447 -1.464 3.987
O 2.863 -0.123 8.779
O 0.372 -1.453 8.770
O 6.744 0.152 6.262
O 3.733 -1.453 6.273
O 6.266 -1.464 1.027
O 9.048 -0.152 1.248
```